TeS5: computed powder diffractogram (Cu Kα (weighted mean of Kα1 and Kα2)), based on a DFT-relaxed cell (PBE, Alexandria).

Principal peaks in the range 10° ≤ 2θ ≤ 90°, by angle:
hkl 0 0 2, 6.000 Å, 2θ = 14.77°, rel. 100.0
hkl 0 1 0, 4.328 Å, 2θ = 20.52°, rel. 38.5
hkl 0 0 3, 4.000 Å, 2θ = 22.23°, rel. 47.7
hkl 0 1 -1, 3.896 Å, 2θ = 22.82°, rel. 39.3
hkl 0 1 3, 3.174 Å, 2θ = 28.12°, rel. 71.3
hkl 1 0 1, 3.125 Å, 2θ = 28.56°, rel. 72.8
hkl 1 0 -1, 3.110 Å, 2θ = 28.70°, rel. 69.2
hkl 0 1 -3, 2.747 Å, 2θ = 32.60°, rel. 49.0
hkl 1 1 1, 2.576 Å, 2θ = 34.83°, rel. 35.7
hkl 1 -1 4, 1.888 Å, 2θ = 48.19°, rel. 30.6

Crystal structure
Lattice parameters (Å, degrees): 3.229 4.373 12.126 81.73 89.45 89.96
Space group P1 (No. 1)
Symmetry-distinct sites (fractional):
1 Te 0.000 0.000 0.000 [1 per cell]
2 S 0.004 0.595 0.893 [1 per cell]
3 S 0.477 0.073 0.636 [1 per cell]
4 S 0.482 0.379 0.505 [1 per cell]
5 S 0.487 0.125 0.360 [1 per cell]
6 S 0.491 0.427 0.226 [1 per cell]